1.
Diffraction record for ZrSbRu2. The powder XRD pattern is theoretical, not measured: it uses a structure optimized by DFT (GGA-PBE) and Cu Kα X-rays.
Kinematic intensities with the Lorentz-polarization factor, no thermal factor.

Principal peaks in the range 10 to 90 degrees two-theta, sorted by position:
d/Å	2θ/deg	intensity
3.760	23.66	1.0
2.302	39.13	100.0
1.963	46.24	0.6
1.628	56.53	16.7
1.329	70.90	33.3
1.151	84.08	10.6

Structure:
```
data_ZrSbRu2
_chemical_formula_sum 'Zr1 Sb1 Ru2'
_cell_length_a 4.605
_cell_length_b 4.605
_cell_length_c 4.605
_cell_angle_alpha 60.00
_cell_angle_beta 60.00
_cell_angle_gamma 60.00
_space_group_name_H-M_alt 'P 1'
_space_group_IT_number 1
loop_
_space_group_symop_operation_xyz
'x,y,z'
loop_
_atom_site_label
_atom_site_type_symbol
_atom_site_fract_x
_atom_site_fract_y
_atom_site_fract_z
_atom_site_occupancy
Zr1 Zr 0.000 0.000 0.000 1
Sb1 Sb 0.500 0.500 0.500 1
Ru1 Ru 0.250 0.250 0.250 1
Ru2 Ru 0.750 0.750 0.750 1
```



2.
Diffraction record for Zr5Sb3Ru. The powder XRD pattern is theoretical, not measured: it uses a structure optimized by DFT (GGA-PBE) and Cu Kα X-rays.
Kinematic intensities with the Lorentz-polarization factor, no thermal factor.

Principal peaks in the range 10 to 90 degrees two-theta, sorted by position:
d/Å	2θ/deg	intensity
2.950	30.30	11.5
2.572	34.88	83.7
2.521	35.62	70.5
2.444	36.77	100.0
1.976	45.92	22.2
1.755	52.12	22.3
1.620	56.83	19.9
1.475	63.03	9.5
1.440	64.73	11.1
1.273	74.54	15.6

Structure:
```
data_Zr5Sb3Ru
_chemical_formula_sum 'Zr10 Sb6 Ru2'
_cell_length_a 8.732
_cell_length_b 8.732
_cell_length_c 5.900
_cell_angle_alpha 90.00
_cell_angle_beta 90.00
_cell_angle_gamma 120.00
_space_group_name_H-M_alt 'P 1'
_space_group_IT_number 1
loop_
_space_group_symop_operation_xyz
'x,y,z'
loop_
_atom_site_label
_atom_site_type_symbol
_atom_site_fract_x
_atom_site_fract_y
_atom_site_fract_z
_atom_site_occupancy
Zr1 Zr 0.000 0.256 0.250 1
Zr2 Zr 0.000 0.744 0.750 1
Zr3 Zr 0.256 0.000 0.250 1
Zr4 Zr 0.256 0.256 0.750 1
Zr5 Zr 0.333 0.667 0.000 1
Zr6 Zr 0.333 0.667 0.500 1
Zr7 Zr 0.667 0.333 0.000 1
Zr8 Zr 0.667 0.333 0.500 1
Zr9 Zr 0.744 0.000 0.750 1
Zr10 Zr 0.744 0.744 0.250 1
Sb1 Sb 0.000 0.394 0.750 1
Sb2 Sb 0.000 0.606 0.250 1
Sb3 Sb 0.394 0.000 0.750 1
Sb4 Sb 0.394 0.394 0.250 1
Sb5 Sb 0.606 0.000 0.250 1
Sb6 Sb 0.606 0.606 0.750 1
Ru1 Ru 0.000 0.000 0.000 1
Ru2 Ru 0.000 0.000 0.500 1
```



- What is the formula in the second record?
  Zr5Sb3Ru